# Na6B11C
Theoretical X-ray powder pattern, λ = 1.5418 Å (Cu Kα). Input: a GGA-PBE-relaxed structure.

Top 6 peaks for 15° ≤ 2θ ≤ 90°, in order of rising 2θ:
two_theta  Rel. int.
34.94  19
39.91  51
40.86  100
41.74  35
61.27  19
76.89  17

Atomic structure:
abc: 8.6566 8.0786 8.0786
angles: 20.94 90.00 90.00
Positions (direct):
Na (0.2462, 0.0000, 0.0000)
Na (0.2491, 0.6664, 0.6664)
Na (0.2497, 0.3328, 0.3328)
Na (0.7503, 0.3328, 0.3328)
Na (0.7509, 0.6664, 0.6664)
Na (0.7538, 0.0000, 0.0000)
B (0.0000, 0.1103, 0.1103)
B (0.0000, 0.2223, 0.2223)
B (0.0000, 0.4434, 0.4434)
B (0.0000, 0.5561, 0.5561)
B (0.0000, 0.7771, 0.7771)
B (0.0000, 0.8892, 0.8892)
B (0.5000, 0.1048, 0.1048)
B (0.5000, 0.2150, 0.2150)
B (0.5000, 0.4557, 0.4557)
B (0.5000, 0.7810, 0.7810)
B (0.5000, 0.8885, 0.8885)
C (0.5000, 0.5543, 0.5543)